(1)
Structure and theoretical PXRD pattern of Pm3Sm3Dy2 (a DFT-relaxed cell (PBE, Alexandria); CuKα).

Structure:
a = 5.809 Å, b = 14.672 Å, c = 6.345 Å
α = 90.00°, β = 90.00°, γ = 90.00°
Space group Pmmn (No. 59, origin choice 2)
Asymmetric unit:
Pm 0.250 0.124 0.167
Pm 0.250 0.750 0.663
Sm 0.250 0.000 0.667
Sm 0.250 0.250 0.671
Dy 0.250 0.625 0.164

Most intense lines, 2θ from 10° to 80°, low angle first:
two_theta	Rel. int.
28.11	24
30.79	25
32.13	100
42.17	16
49.71	7
49.77	13
55.60	21
59.65	23
60.46	16
77.81	8

(2)
Structure and theoretical PXRD pattern of Pm4Sm2Dy (a DFT-relaxed cell (PBE, Alexandria); CuKα).

Structure:
a = 5.394 Å, b = 11.439 Å, c = 15.586 Å
α = 90.00°, β = 90.00°, γ = 90.00°
Space group Cmce (No. 64)
Asymmetric unit:
Pm 0.000 0.101 0.194
Pm 0.000 0.206 0.430
Sm 0.000 0.106 0.657
Dy 0.000 0.000 0.000

Most intense lines, 2θ from 10° to 80°, low angle first:
two_theta	Rel. int.
29.31	100
30.93	61
33.22	40
33.38	20
34.13	21
38.05	12
47.81	15
51.39	10
56.96	15
60.51	20

(3)
Structure and theoretical PXRD pattern of Pm4SmDy6 (a DFT-relaxed cell (PBE, Alexandria); CuKα).

Structure:
a = 6.655 Å, b = 6.655 Å, c = 17.044 Å
α = 90.00°, β = 90.00°, γ = 90.00°
Space group I-42m (No. 121)
Asymmetric unit:
Pm 0.189 0.189 0.325
Sm 0.000 0.000 0.500
Dy 0.000 0.500 0.000
Dy 0.178 0.178 0.126

Most intense lines, 2θ from 10° to 80°, low angle first:
two_theta	Rel. int.
28.25	41
28.80	65
29.44	29
30.49	100
31.49	27
34.19	77
36.96	30
38.25	30
40.22	36
57.34	29

(4)
Structure and theoretical PXRD pattern of Pm5Sm12Dy2 (a DFT-relaxed cell (PBE, Alexandria); CuKα).

Structure:
a = 18.594 Å, b = 7.159 Å, c = 10.504 Å
α = 90.00°, β = 111.32°, γ = 90.00°
Space group C2/m (No. 12)
Asymmetric unit:
Pm 0.000 0.000 0.000
Pm 0.176 0.500 0.709
Pm 0.186 0.000 0.685
Sm 0.001 0.500 0.822
Sm 0.025 0.000 0.744
Sm 0.160 0.248 0.368
Sm 0.166 0.252 0.022
Dy 0.000 0.277 0.500

Most intense lines, 2θ from 10° to 80°, low angle first:
two_theta	Rel. int.
27.62	32
29.68	63
30.97	100
31.59	31
32.45	14
32.64	44
39.09	17
51.03	16
53.10	14
60.90	16

(5)
Structure and theoretical PXRD pattern of Pm2Sm3Dy8 (a DFT-relaxed cell (PBE, Alexandria); CuKα).

Structure:
a = 6.198 Å, b = 6.203 Å, c = 11.307 Å
α = 89.97°, β = 79.46°, γ = 80.43°
Space group P-1 (No. 2)
Asymmetric unit:
Pm 0.116 0.231 0.038
Sm 0.269 0.538 0.423
Sm 0.500 0.000 0.500
Dy 0.038 0.076 0.346
Dy 0.192 0.385 0.731
Dy 0.347 0.692 0.116
Dy 0.424 0.846 0.808

Most intense lines, 2θ from 10° to 80°, low angle first:
two_theta	Rel. int.
30.57	33
30.61	100
35.48	68
51.05	48
60.66	19
60.71	38
63.68	12
63.75	4
75.08	8

(6)
Structure and theoretical PXRD pattern of Pm3SmDy2 (a DFT-relaxed cell (PBE, Alexandria); CuKα).

Structure:
a = 6.247 Å, b = 7.218 Å, c = 9.552 Å
α = 112.09°, β = 90.06°, γ = 90.09°
Space group P-1 (No. 2)
Asymmetric unit:
Pm 0.083 0.207 0.165
Pm 0.250 0.125 0.500
Pm 0.417 0.542 0.835
Sm 0.250 0.626 0.500
Dy 0.083 0.708 0.166
Dy 0.417 0.043 0.834

Most intense lines, 2θ from 10° to 80°, low angle first:
two_theta	Rel. int.
30.33	100
35.14	34
35.20	17
50.56	30
50.64	6
60.03	14
60.16	29
63.05	6
63.12	6
74.40	4

(7)
Structure and theoretical PXRD pattern of Pm3Sm2Dy (a DFT-relaxed cell (PBE, Alexandria); CuKα).

Structure:
a = 10.922 Å, b = 6.299 Å, c = 11.730 Å
α = 90.00°, β = 90.00°, γ = 90.00°
Space group Cmc2_1 (No. 36)
Asymmetric unit:
Pm 0.000 0.001 0.000
Pm 0.166 0.499 0.500
Sm 0.167 0.166 0.250
Dy 0.000 0.333 0.750

Most intense lines, 2θ from 10° to 80°, low angle first:
two_theta	Rel. int.
29.35	45
30.48	35
32.25	100
36.63	25
48.37	11
50.14	26
55.30	22
59.82	31
60.88	16
77.87	8

(8)
Structure and theoretical PXRD pattern of Pm2SmDy7 (a DFT-relaxed cell (PBE, Alexandria); CuKα).

Structure:
a = 18.201 Å, b = 5.466 Å, c = 7.048 Å
α = 90.00°, β = 112.72°, γ = 90.00°
Space group C2/m (No. 12)
Asymmetric unit:
Pm 0.199 0.000 0.199
Sm 0.000 0.000 0.500
Dy 0.000 0.000 0.000
Dy 0.107 0.500 0.358
Dy 0.107 0.500 0.858
Dy 0.200 0.000 0.700

Most intense lines, 2θ from 10° to 80°, low angle first:
two_theta	Rel. int.
30.65	89
31.26	100
32.77	45
33.20	41
47.34	30
53.61	15
57.18	15
57.55	18
58.47	17
61.84	29

(9)
Structure and theoretical PXRD pattern of Pm5SmDy2 (a DFT-relaxed cell (PBE, Alexandria); CuKα).

Structure:
a = 16.765 Å, b = 10.029 Å, c = 6.564 Å
α = 90.00°, β = 99.36°, γ = 90.00°
Space group C2/c (No. 15)
Asymmetric unit:
Pm 0.000 0.055 0.250
Pm 0.096 0.405 0.142
Pm 0.201 0.088 0.019
Sm 0.250 0.250 0.500
Dy 0.078 0.255 0.627

Most intense lines, 2θ from 10° to 80°, low angle first:
two_theta	Rel. int.
28.41	30
29.62	34
30.98	100
31.26	37
32.22	8
37.22	9
39.22	10
41.72	10
43.34	11
55.47	14

(10)
Structure and theoretical PXRD pattern of Tb2Pm2SmDy (a DFT-relaxed cell (PBE, Alexandria); CuKα).

Structure:
a = 6.637 Å, b = 17.990 Å, c = 3.400 Å
α = 90.00°, β = 90.00°, γ = 90.00°
Space group Pnnm (No. 58)
Asymmetric unit:
Tb 0.229 0.147 0.000
Pm 0.231 0.316 0.500
Sm 0.000 0.000 0.500
Dy 0.000 0.500 0.500

Most intense lines, 2θ from 10° to 80°, low angle first:
two_theta	Rel. int.
26.69	35
28.67	100
29.80	78
30.22	80
31.19	41
32.78	32
33.56	67
35.77	38
40.87	71
55.06	26

(11)
Structure and theoretical PXRD pattern of TbPm2Sm2Dy4 (a DFT-relaxed cell (PBE, Alexandria); CuKα).

Structure:
a = 18.782 Å, b = 3.619 Å, c = 9.623 Å
α = 90.00°, β = 115.73°, γ = 90.00°
Space group C2/m (No. 12)
Asymmetric unit:
Tb 0.000 0.000 0.000
Pm 0.166 0.500 0.001
Sm 0.147 0.000 0.664
Dy 0.019 0.500 0.332
Dy 0.185 0.000 0.335

Most intense lines, 2θ from 10° to 80°, low angle first:
two_theta	Rel. int.
28.71	36
29.33	17
30.95	51
31.71	100
33.40	89
50.47	39
54.42	21
57.70	19
60.39	45
60.84	16

(12)
Structure and theoretical PXRD pattern of Tb2PmSmDy5 (a DFT-relaxed cell (PBE, Alexandria); CuKα).

Structure:
a = 8.806 Å, b = 8.806 Å, c = 15.113 Å
α = 90.00°, β = 90.00°, γ = 90.00°
Space group I4/mcm (No. 140)
Asymmetric unit:
Tb 0.115 0.385 0.000
Pm 0.000 0.000 0.250
Sm 0.000 0.500 0.250
Dy 0.000 0.000 0.000
Dy 0.205 0.295 0.366

Most intense lines, 2θ from 10° to 80°, low angle first:
two_theta	Rel. int.
28.67	50
28.77	54
31.19	100
32.14	16
37.29	20
37.51	15
42.77	23
52.40	21
56.99	21
64.71	14